[1]
Theoretical powder diffractogram
Compound: Mg2ScAu3
Radiation: Cu Ka
Structure: a GGA-PBE-relaxed structure
Peak positions follow from Bragg's law for the DFT cell and can differ from measured ones.

Cell and atoms:
Cell: 4.7228 4.7228 11.5577 Å, 90.00 90.00 120.00°
Space group P-3m1 (No. 164)
Unique sites:
Mg1 0.0000 0.0000 0.0000 x1
Mg2 0.0000 0.0000 0.5000 x1
Mg3 0.3333 0.6667 0.1631 x2
Sc1 0.3333 0.6667 0.6645 x2
Au1 0.0000 0.0000 0.2498 x2
Au2 0.3333 0.6667 0.4130 x2
Au3 0.3333 0.6667 0.9138 x2

Largest 6 diffraction maxima, by intensity, 10 to 80 degrees two-theta:
2θ (°)	I/Imax	h k l
38.12	100	1 1 0
26.70	64	0 1 2
68.89	35	3 0 0
62.18	26	1 2 2
47.15	19	2 0 2
55.01	17	0 2 4

=====

[2]
Theoretical powder diffractogram
Compound: Nd3Cu
Radiation: Cu Ka
Structure: a GGA-PBE-relaxed structure
Peak positions follow from Bragg's law for the DFT cell and can differ from measured ones.

Cell and atoms:
Cell: 3.7223 11.2778 5.5876 Å, 90.00 90.00 90.00°
Space group Imm2 (No. 44)
Unique sites:
Nd1 0.0000 0.0000 0.0000 x2
Nd2 0.0000 0.2058 0.5245 x4
Cu1 0.0000 0.5000 0.9313 x2

Largest 12 diffraction maxima, by intensity, 10 to 80 degrees two-theta:
2θ (°)	I/Imax	h k l
32.99	100	1 2 1
28.62	32	0 3 1
32.04	29	0 0 2
57.70	24	1 2 3
31.74	16	0 4 0
59.71	15	2 0 2
58.11	15	1 5 2
47.11	12	1 5 0
25.19	12	1 1 0
48.94	10	2 0 0
41.19	10	1 1 2
45.72	10	0 4 2

=====

[3]
Theoretical powder diffractogram
Compound: TlAgPbS2
Radiation: Cu Ka
Structure: a GGA-PBE-relaxed structure
Peak positions follow from Bragg's law for the DFT cell and can differ from measured ones.

Cell and atoms:
Cell: 7.0924 5.6513 7.9573 Å, 90.00 109.09 90.00°
Space group P2/c (No. 13)
Unique sites:
Tl1 0.0000 0.1487 0.2500 x2
Ag1 0.5000 0.0000 0.0000 x2
Pb1 0.5000 0.4379 0.7500 x2
S1 0.2479 0.2838 0.9880 x4

Largest 12 diffraction maxima, by intensity, 10 to 80 degrees two-theta:
2θ (°)	I/Imax	h k l
27.98	100	1 1 -2
25.86	65	1 1 1
26.60	65	2 0 0
34.78	58	1 1 2
20.56	44	1 1 0
33.89	39	0 2 1
34.45	34	1 2 0
42.85	33	3 1 -2
29.33	32	2 0 -2
21.45	30	1 1 -1
37.49	24	1 1 -3
40.96	23	2 2 -1

=====

[4]
Theoretical powder diffractogram
Compound: Fe2NiPt9
Radiation: Cu Ka
Structure: a GGA-PBE-relaxed structure
Peak positions follow from Bragg's law for the DFT cell and can differ from measured ones.

Cell and atoms:
Cell: 3.9072 3.9072 11.7008 Å, 90.00 90.00 90.00°
Space group P4/mmm (No. 123)
Unique sites:
Fe1 0.0000 0.0000 0.1711 x2
Ni1 0.0000 0.0000 0.5000 x1
Pt1 0.0000 0.5000 0.0000 x2
Pt2 0.0000 0.5000 0.3330 x4
Pt3 0.5000 0.5000 0.1663 x2
Pt4 0.5000 0.5000 0.5000 x1

Largest 10 diffraction maxima, by intensity, 10 to 80 degrees two-theta:
2θ (°)	I/Imax	h k l
39.99	100	1 1 3
46.51	49	2 0 0
67.89	32	2 2 0
22.77	13	0 0 3
32.43	11	1 0 3
52.39	6	1 0 6
57.84	5	1 1 6
72.63	3	2 1 6
77.22	1	3 1 0
77.36	1	1 0 9

=====

[5]
Theoretical powder diffractogram
Compound: Na3Ga2As2
Radiation: Cu Ka
Structure: a GGA-PBE-relaxed structure
Peak positions follow from Bragg's law for the DFT cell and can differ from measured ones.

Cell and atoms:
Cell: 6.9388 7.4812 12.8848 Å, 90.00 90.00 90.00°
Space group Pbcm (No. 57)
Unique sites:
Na1 0.0565 0.0642 0.1201 x8
Na2 0.3788 0.7134 0.2500 x4
Ga1 0.3475 0.1088 0.5602 x8
As1 0.2278 0.1514 0.7500 x4
As2 0.3099 0.7500 0.0000 x4

Largest 12 diffraction maxima, by intensity, 10 to 80 degrees two-theta:
2θ (°)	I/Imax	h k l
18.77	100	1 0 2
38.36	50	1 3 0
35.34	50	2 1 3
38.98	44	3 0 0
13.75	43	0 0 2
39.19	39	1 1 5
12.76	38	1 0 0
34.32	37	1 2 3
42.60	34	0 2 5
45.87	32	1 1 6
41.48	32	3 0 2
22.27	31	1 1 2

=====

[6]
Theoretical powder diffractogram
Compound: HfGaAu
Radiation: Cu Ka
Structure: a GGA-PBE-relaxed structure
Peak positions follow from Bragg's law for the DFT cell and can differ from measured ones.

Cell and atoms:
Cell: 4.6819 5.9762 7.7753 Å, 90.00 90.00 90.00°
Space group Imma (No. 74)
Unique sites:
Hf1 0.0000 0.0000 0.0000 x4
Ga1 0.0000 0.2500 0.3252 x4
Au1 0.0000 0.2500 0.6570 x4

Largest 12 diffraction maxima, by intensity, 10 to 80 degrees two-theta:
2θ (°)	I/Imax	h k l
37.53	100	1 2 1
39.75	83	1 0 3
38.45	46	2 0 0
37.98	42	0 2 2
70.41	33	3 0 3
55.16	29	2 2 2
18.73	26	0 1 1
76.33	25	1 4 3
33.50	20	1 1 2
56.48	17	0 2 4
68.95	17	3 2 1
75.49	13	2 4 0

=====

[7]
Theoretical powder diffractogram
Compound: CsZrOF5
Radiation: Cu Ka
Structure: a GGA-PBE-relaxed structure
Peak positions follow from Bragg's law for the DFT cell and can differ from measured ones.

Cell and atoms:
Cell: 5.4258 7.0330 8.4913 Å, 71.18 78.82 85.50°
Space group P-1 (No. 2)
Unique sites:
Cs1 0.1338 0.3632 0.2741 x2
Zr1 0.2845 0.0769 0.8481 x2
O1 0.4639 0.7428 0.3919 x2
F1 0.0557 0.8211 0.0138 x2
F2 0.1007 0.2443 0.6559 x2
F3 0.3353 0.8807 0.7158 x2
F4 0.3472 0.0329 0.1132 x2
F5 0.4095 0.3577 0.8310 x2

Largest 12 diffraction maxima, by intensity, 10 to 80 degrees two-theta:
2θ (°)	I/Imax	h k l
21.19	100	1 1 0
24.91	84	1 -1 1
25.57	77	0 2 1
23.77	67	-1 1 1
22.49	65	0 0 2
25.19	64	1 1 2
36.17	53	0 2 3
19.95	38	0 1 -1
33.56	36	2 0 1
11.19	31	0 0 1
37.29	31	1 2 -1
41.09	30	1 3 1

=====

[8]
Theoretical powder diffractogram
Compound: Nd3Er12Pu
Radiation: Cu Ka
Structure: a GGA-PBE-relaxed structure
Peak positions follow from Bragg's law for the DFT cell and can differ from measured ones.

Cell and atoms:
Cell: 4.9754 4.9754 19.9470 Å, 90.00 90.00 90.00°
Space group P4/mmm (No. 123)
Unique sites:
Nd1 0.0000 0.0000 0.0000 x1
Nd2 0.0000 0.0000 0.2543 x2
Er1 0.0000 0.5000 0.1272 x4
Er2 0.0000 0.5000 0.3822 x4
Er3 0.5000 0.5000 0.0000 x1
Er4 0.5000 0.5000 0.2529 x2
Er5 0.5000 0.5000 0.5000 x1
Pu1 0.0000 0.0000 0.5000 x1

Largest 12 diffraction maxima, by intensity, 10 to 80 degrees two-theta:
2θ (°)	I/Imax	h k l
31.11	100	1 1 4
36.08	50	2 0 0
51.94	35	2 2 0
61.83	28	3 1 4
61.72	13	1 1 12
64.87	12	2 2 8
76.60	4	4 0 0
76.39	2	0 0 16
33.98	1	1 1 5
40.74	1	0 0 9
37.22	1	1 1 6
55.54	1	2 0 9

=====

[9]
Theoretical powder diffractogram
Compound: CaFe4Te
Radiation: Cu Ka
Structure: a GGA-PBE-relaxed structure
Peak positions follow from Bragg's law for the DFT cell and can differ from measured ones.

Cell and atoms:
Cell: 7.2784 7.2784 7.2784 Å, 90.00 90.00 90.00°
Space group F-43m (No. 216)
Unique sites:
Ca1 0.0000 0.0000 0.0000 x4
Fe1 0.1269 0.1269 0.6269 x16
Te1 0.2500 0.2500 0.2500 x4

Largest 12 diffraction maxima, by intensity, 10 to 80 degrees two-theta:
2θ (°)	I/Imax	h k l
41.13	100	3 1 1
34.87	38	2 2 0
43.05	31	2 2 2
66.79	30	5 1 1
73.62	22	4 4 0
62.52	13	4 2 2
24.46	13	2 0 0
21.14	9	1 1 1
56.55	4	4 2 0
54.99	3	3 3 1
78.92	2	4 4 2
77.60	2	5 3 1

=====

[10]
Theoretical powder diffractogram
Compound: Na3LiAu8
Radiation: Cu Ka
Structure: a GGA-PBE-relaxed structure
Peak positions follow from Bragg's law for the DFT cell and can differ from measured ones.

Cell and atoms:
Cell: 5.5718 5.5718 27.5948 Å, 90.00 90.00 120.00°
Space group R3m (No. 160, hexagonal axes)
Unique sites:
Na1 0.0000 0.0000 0.0000 x3
Na2 0.0000 0.0000 0.1257 x3
Na3 0.0000 0.0000 0.6236 x3
Li1 0.0000 0.0000 0.4993 x3
Au1 0.0000 0.0000 0.3123 x3
Au2 0.0000 0.0000 0.8124 x3
Au3 0.0009 0.5005 0.0631 x9
Au4 0.1670 0.3340 0.8949 x9

Largest 12 diffraction maxima, by intensity, 10 to 80 degrees two-theta:
2θ (°)	I/Imax	h k l
19.49	100	0 1 2
39.57	80	0 2 4
37.75	52	1 1 6
45.90	48	2 0 8
19.30	34	0 0 6
39.18	27	0 0 12
37.55	27	1 0 10
37.86	26	2 0 2
66.66	19	0 2 16
67.21	19	2 2 0
50.48	17	1 2 2
70.69	13	3 1 2

=====

[11]
Theoretical powder diffractogram
Compound: Cs3KTl8
Radiation: Cu Ka
Structure: a GGA-PBE-relaxed structure
Peak positions follow from Bragg's law for the DFT cell and can differ from measured ones.

Cell and atoms:
Cell: 7.0394 7.0394 10.7814 Å, 90.00 90.00 120.00°
Space group P3m1 (No. 156)
Unique sites:
Cs1 0.0000 0.0000 0.0000 x1
Cs2 0.0000 0.0000 0.3879 x1
Cs3 0.3333 0.6667 0.8800 x1
K1 0.3333 0.6667 0.5043 x1
Tl1 0.0053 0.5026 0.1994 x3
Tl2 0.3458 0.1729 0.6911 x3
Tl3 0.6667 0.3333 0.4353 x1
Tl4 0.6667 0.3333 0.9595 x1

Largest 12 diffraction maxima, by intensity, 10 to 80 degrees two-theta:
2θ (°)	I/Imax	h k l
30.48	100	0 2 1
30.33	91	1 1 2
51.95	66	2 2 0
33.78	39	0 2 2
28.84	39	0 1 3
14.53	33	1 0 0
47.84	27	3 0 2
33.24	25	0 0 4
63.09	24	2 2 4
46.84	21	2 1 3
38.74	19	2 0 3
36.45	15	0 1 4

=====

[12]
Theoretical powder diffractogram
Compound: Np2Ga8Ag
Radiation: Cu Ka
Structure: a GGA-PBE-relaxed structure
Peak positions follow from Bragg's law for the DFT cell and can differ from measured ones.

Cell and atoms:
Cell: 4.3495 4.3495 11.3114 Å, 90.00 90.00 90.00°
Space group P4/mmm (No. 123)
Unique sites:
Np1 0.0000 0.0000 0.1863 x2
Ga1 0.0000 0.5000 0.0000 x2
Ga2 0.0000 0.5000 0.3628 x4
Ga3 0.5000 0.5000 0.1863 x2
Ag1 0.0000 0.0000 0.5000 x1

Largest 12 diffraction maxima, by intensity, 10 to 80 degrees two-theta:
2θ (°)	I/Imax	h k l
37.75	100	1 1 3
41.52	45	2 0 0
20.42	36	1 0 0
73.26	28	3 1 3
31.40	23	1 0 3
33.16	21	1 1 2
52.96	15	2 1 3
60.17	15	2 2 0
65.53	13	2 0 6
58.91	12	2 0 5
48.29	11	0 0 6
73.75	9	1 1 8